Entry 1:
The following is a simulated X-ray powder pattern of AcPaHg2O8. It was derived from DFT lattice parameters and positions (PBE), using CuKα.

Principal peaks in the range 10° ≤ 2θ ≤ 90°, by angle:
- 24.7°, rel. 89.2, (2 0 0)
- 28.8°, rel. 100.0, (1 1 2)
- 35.2°, rel. 27.8, (2 2 0)
- 46.2°, rel. 69.5, (3 1 2)
- 50.7°, rel. 13.9, (4 0 0)
- 53.4°, rel. 22.3, (2 0 4)
- 57.2°, rel. 15.8, (4 2 0)
- 59.4°, rel. 19.1, (3 3 2)
- 71.0°, rel. 16.6, (5 1 2)
- 76.7°, rel. 14.1, (4 2 4)

Cell and atoms:
Unit cell a=7.203 b=7.203 c=7.802 alpha=90.00 beta=90.00 gamma=90.00
Space group I-4m2 (No. 119)
Asymmetric unit:
Ac1 0.000 0.000 0.000
Pa1 0.000 0.500 0.750
Hg1 0.000 0.000 0.500
Hg2 0.000 0.500 0.250
O1 0.000 0.202 0.716
O2 0.000 0.341 0.017

---

Entry 2:
The following is a simulated X-ray powder pattern of AcPa2HgO8. It was derived from DFT lattice parameters and positions (PBE), using CuKα.

Principal peaks in the range 10° ≤ 2θ ≤ 90°, by angle:
- 27.7°, rel. 100.0, (1 1 2)
- 31.6°, rel. 25.8, (2 0 0)
- 32.9°, rel. 11.6, (0 0 4)
- 45.4°, rel. 17.0, (2 2 0)
- 46.3°, rel. 32.4, (2 0 4)
- 54.0°, rel. 32.8, (1 3 2)
- 55.6°, rel. 15.1, (1 1 6)
- 57.1°, rel. 11.1, (2 2 4)
- 74.5°, rel. 12.9, (3 1 6)
- 84.5°, rel. 10.9, (2 4 4)

Cell and atoms:
Unit cell a=5.654 b=5.654 c=10.900 alpha=90.00 beta=90.00 gamma=90.00
Space group I-4 (No. 82)
Asymmetric unit:
Ac1 0.000 0.000 0.000
Pa1 0.000 0.000 0.500
Pa2 0.000 0.500 0.250
Hg1 0.000 0.500 0.750
O1 0.202 0.263 0.383
O2 0.234 0.764 0.365

---

What did the first record say?
The following is a simulated X-ray powder pattern of AcPaHg2O8. It was derived from DFT lattice parameters and positions (PBE), using CuKα.

Principal peaks in the range 10° ≤ 2θ ≤ 90°, by angle:
- 24.7°, rel. 89.2, (2 0 0)
- 28.8°, rel. 100.0, (1 1 2)
- 35.2°, rel. 27.8, (2 2 0)
- 46.2°, rel. 69.5, (3 1 2)
- 50.7°, rel. 13.9, (4 0 0)
- 53.4°, rel. 22.3, (2 0 4)
- 57.2°, rel. 15.8, (4 2 0)
- 59.4°, rel. 19.1, (3 3 2)
- 71.0°, rel. 16.6, (5 1 2)
- 76.7°, rel. 14.1, (4 2 4)

Cell and atoms:
Unit cell a=7.203 b=7.203 c=7.802 alpha=90.00 beta=90.00 gamma=90.00
Space group I-4m2 (No. 119)
Asymmetric unit:
Ac1 0.000 0.000 0.000
Pa1 0.000 0.500 0.750
Hg1 0.000 0.000 0.500
Hg2 0.000 0.500 0.250
O1 0.000 0.202 0.716
O2 0.000 0.341 0.017